Structure and computed XRD peak list of Tb8ErTm6 (a GGA-PBE-relaxed structure; Cu Kα, 1.54184 Å).
Peak positions follow from Bragg's law for the DFT cell and can differ from measured ones.

Cell and atoms:
```
data_Tb8ErTm6
_chemical_formula_sum 'Tb8 Er1 Tm6'
_cell_length_a 9.7233
_cell_length_b 9.7233
_cell_length_c 5.7805
_cell_angle_alpha 90.00
_cell_angle_beta 90.00
_cell_angle_gamma 120.00
_symmetry_space_group_name_H-M 'P -3'
_symmetry_Int_Tables_number 147
loop_
_symmetry_equiv_pos_as_xyz
'x,y,z'
'-x,-y,-z'
'-y,x-y,z'
'y,-x+y,-z'
'-x+y,-x,z'
'x-y,x,-z'
loop_
_atom_site_label
_atom_site_type_symbol
_atom_site_fract_x
_atom_site_fract_y
_atom_site_fract_z
Tb1 Tb 0.0906 0.6262 0.2704
Tb2 Tb 0.3333 0.6667 0.7800
Er1 Er 0.0000 0.0000 0.5000
Tm1 Tm 0.0489 0.7757 0.7827
```

The 10 most intense peaks (2θ = 10–80°), in order of rising 2θ:
- hkl 1 2 0, 2θ 28.0, d = 3.183 Å, I = 21
- hkl 0 0 2, 2θ 30.9, d = 2.890 Å, I = 20
- hkl 1 2 1, 2θ 32.1, d = 2.788 Å, I = 100
- hkl 2 -1 2, 2θ 36.2, d = 2.484 Å, I = 5
- hkl 3 -1 2, 2θ 42.2, d = 2.140 Å, I = 20
- hkl 4 1 0, 2θ 49.6, d = 1.838 Å, I = 19
- hkl 1 2 3, 2θ 55.8, d = 1.648 Å, I = 16
- hkl 4 1 2, 2θ 59.6, d = 1.551 Å, I = 14
- hkl 6 -2 1, 2θ 60.3, d = 1.534 Å, I = 15
- hkl 2 4 2, 2θ 67.1, d = 1.394 Å, I = 5